Starting from a crystal structure in the Materials Project, relaxed with PBE+U, the X-ray powder pattern of CrPO5 was computed for Cu Kα X-rays.

Top 8 peaks for 5 to 70 degrees two-theta, sorted by position:
| Position (°2θ) | intensity |
| --- | --- |
| 18.08 | 52 |
| 19.07 | 44 |
| 19.51 | 55 |
| 21.75 | 28 |
| 24.72 | 69 |
| 25.25 | 100 |
| 27.29 | 30 |
| 30.13 | 73 |

Structure:
```
CrPO5
1.0
7.0472 0.0000 0.0000
0.0385 7.2937 0.0000
2.6327 0.2340 6.8870
Cr P O
4 4 20
Direct
0.1938 0.2799 0.0429
0.3005 0.7840 0.4475
0.6995 0.2160 0.5525
0.8062 0.7201 0.9571
0.0281 0.0862 0.7403
0.4789 0.4128 0.2568
0.5211 0.5872 0.7432
0.9719 0.9138 0.2597
0.0065 0.3669 0.2042
0.0518 0.8214 0.4098
0.1031 0.2443 0.8332
0.1446 0.0267 0.1063
0.2130 0.9627 0.6415
0.3016 0.5479 0.3511
0.3379 0.4871 0.8929
0.3928 0.2643 0.1592
0.4591 0.6884 0.5881
0.4599 0.8867 0.2663
0.5401 0.1133 0.7337
0.5409 0.3116 0.4119
0.6072 0.7357 0.8408
0.6621 0.5129 0.1071
0.6984 0.4521 0.6489
0.7870 0.0373 0.3585
0.8554 0.9733 0.8937
0.8969 0.7557 0.1668
0.9482 0.1786 0.5902
0.9935 0.6331 0.7958
```


Starting from a crystal structure in the Materials Project, relaxed with PBE+U, the X-ray powder pattern of CrPO10 was computed for Cu Kα X-rays.

Top 8 peaks for 5 to 70 degrees two-theta, sorted by position:
| Position (°2θ) | intensity |
| --- | --- |
| 14.50 | 43 |
| 15.92 | 20 |
| 16.24 | 18 |
| 19.17 | 30 |
| 19.84 | 100 |
| 20.35 | 38 |
| 21.97 | 27 |
| 23.19 | 19 |

Structure:
```
CrPO10
1.0
5.0531 -3.8359 0.0000
5.0531 3.8359 0.0000
-1.0678 0.0000 25.5852
Cr P O
4 4 40
Direct
0.0051 0.9949 0.5000
0.8909 0.9748 0.7176
0.9748 0.8909 0.2176
0.9949 0.0051 0.0000
0.1967 0.3695 0.3471
0.3695 0.1967 0.8471
0.5184 0.6255 0.6129
0.6255 0.5184 0.1129
0.0236 0.1534 0.2189
0.0300 0.6794 0.6956
0.0319 0.5973 0.9413
0.0553 0.1240 0.5544
0.0764 0.7468 0.1679
0.0991 0.8433 0.7875
0.1240 0.0553 0.0544
0.1270 0.2115 0.8577
0.1534 0.0236 0.7189
0.1566 0.8358 0.2711
0.1653 0.7996 0.9616
0.2115 0.1270 0.3577
0.2433 0.9238 0.4698
0.3033 0.3809 0.2944
0.3229 0.4601 0.3906
0.3809 0.3033 0.7944
0.3998 0.8723 0.6148
0.4246 0.5033 0.5694
0.4601 0.3229 0.8906
0.4941 0.5349 0.6670
0.5003 0.9553 0.8464
0.5033 0.4246 0.0694
0.5349 0.4941 0.1670
0.5960 0.7638 0.1042
0.5973 0.0319 0.4413
0.6464 0.9112 0.4034
0.6794 0.0300 0.1956
0.7468 0.0764 0.6679
0.7638 0.5960 0.6042
0.7687 0.7893 0.2490
0.7760 0.9331 0.0123
0.7893 0.7687 0.7490
0.7996 0.1653 0.4616
0.8358 0.1566 0.7711
0.8433 0.0991 0.2875
0.8723 0.3998 0.1148
0.9112 0.6464 0.9034
0.9238 0.2433 0.9698
0.9331 0.7760 0.5123
0.9553 0.5003 0.3464
```


Starting from a crystal structure in the Materials Project, relaxed with PBE+U, the X-ray powder pattern of Cr3P3O13 was computed for Cu Kα X-rays.

Top 8 peaks for 5 to 70 degrees two-theta, sorted by position:
| Position (°2θ) | intensity |
| --- | --- |
| 13.53 | 44 |
| 16.55 | 88 |
| 19.18 | 100 |
| 24.28 | 65 |
| 27.14 | 66 |
| 28.54 | 56 |
| 30.41 | 60 |
| 32.86 | 57 |

Structure:
```
Cr3P3O13
1.0
7.4470 0.0000 0.0000
0.0000 6.2557 0.0000
-1.8086 0.0000 10.3739
Cr P O
6 6 26
Direct
0.0000 0.0000 0.0000
0.0000 0.5000 0.0000
0.2248 0.2500 0.5559
0.3698 0.7500 0.1954
0.6302 0.2500 0.8046
0.7752 0.7500 0.4441
0.2135 0.7500 0.4760
0.2557 0.2500 0.2338
0.3042 0.2500 0.8804
0.6958 0.7500 0.1196
0.7443 0.7500 0.7662
0.7865 0.2500 0.5240
0.0135 0.7500 0.4035
0.0804 0.2500 0.1235
0.1281 0.7500 0.0917
0.1963 0.2500 0.3654
0.2068 0.0460 0.9093
0.2068 0.4540 0.9093
0.2589 0.5537 0.5638
0.2589 0.9463 0.5638
0.3413 0.7500 0.3755
0.3468 0.2500 0.7389
0.3694 0.0536 0.2108
0.3694 0.4464 0.2108
0.4887 0.7500 0.0501
0.5113 0.2500 0.9499
0.6306 0.5536 0.7892
0.6306 0.9464 0.7892
0.6532 0.7500 0.2611
0.6587 0.2500 0.6245
0.7411 0.0537 0.4362
0.7411 0.4463 0.4362
0.7932 0.5460 0.0907
0.7932 0.9540 0.0907
0.8037 0.7500 0.6346
0.8719 0.2500 0.9083
0.9196 0.7500 0.8765
0.9865 0.2500 0.5965
```


Starting from a crystal structure in the Materials Project, relaxed with PBE+U, the X-ray powder pattern of CrP4O12 was computed for Cu Kα X-rays.

Top 8 peaks for 5 to 70 degrees two-theta, sorted by position:
| Position (°2θ) | intensity |
| --- | --- |
| 17.23 | 36 |
| 19.15 | 56 |
| 20.67 | 76 |
| 26.31 | 33 |
| 27.69 | 57 |
| 28.16 | 51 |
| 29.61 | 100 |
| 34.87 | 21 |

Structure:
```
CrP4O12
1.0
5.8770 -4.1317 0.0000
5.8770 4.1317 0.0000
-4.8688 0.0000 8.8307
Cr P O
2 8 24
Direct
0.0539 0.9461 0.7500
0.9461 0.0539 0.2500
0.2464 0.7342 0.0187
0.2658 0.7536 0.4813
0.2876 0.3115 0.8067
0.3115 0.2876 0.3067
0.6885 0.7124 0.6933
0.7124 0.6885 0.1933
0.7342 0.2464 0.5187
0.7536 0.2658 0.9813
0.0841 0.8490 0.0972
0.1177 0.2495 0.3095
0.1510 0.9159 0.4028
0.1904 0.3497 0.6572
0.1945 0.7403 0.5980
0.2150 0.4978 0.9426
0.2495 0.1177 0.8095
0.2597 0.8055 0.9020
0.2920 0.5332 0.3551
0.3497 0.1904 0.1572
0.4668 0.7080 0.1449
0.4978 0.2150 0.4426
0.5022 0.7850 0.5574
0.5332 0.2920 0.8551
0.6503 0.8096 0.8428
0.7080 0.4668 0.6449
0.7403 0.1945 0.0980
0.7505 0.8823 0.1905
0.7850 0.5022 0.0574
0.8055 0.2597 0.4020
0.8096 0.6503 0.3428
0.8490 0.0841 0.5972
0.8823 0.7505 0.6905
0.9159 0.1510 0.9028
```


What did the second record say?
Starting from a crystal structure in the Materials Project, relaxed with PBE+U, the X-ray powder pattern of CrPO10 was computed for Cu Kα X-rays.

Top 8 peaks for 5 to 70 degrees two-theta, sorted by position:
| Position (°2θ) | intensity |
| --- | --- |
| 14.50 | 43 |
| 15.92 | 20 |
| 16.24 | 18 |
| 19.17 | 30 |
| 19.84 | 100 |
| 20.35 | 38 |
| 21.97 | 27 |
| 23.19 | 19 |

Structure:
```
CrPO10
1.0
5.0531 -3.8359 0.0000
5.0531 3.8359 0.0000
-1.0678 0.0000 25.5852
Cr P O
4 4 40
Direct
0.0051 0.9949 0.5000
0.8909 0.9748 0.7176
0.9748 0.8909 0.2176
0.9949 0.0051 0.0000
0.1967 0.3695 0.3471
0.3695 0.1967 0.8471
0.5184 0.6255 0.6129
0.6255 0.5184 0.1129
0.0236 0.1534 0.2189
0.0300 0.6794 0.6956
0.0319 0.5973 0.9413
0.0553 0.1240 0.5544
0.0764 0.7468 0.1679
0.0991 0.8433 0.7875
0.1240 0.0553 0.0544
0.1270 0.2115 0.8577
0.1534 0.0236 0.7189
0.1566 0.8358 0.2711
0.1653 0.7996 0.9616
0.2115 0.1270 0.3577
0.2433 0.9238 0.4698
0.3033 0.3809 0.2944
0.3229 0.4601 0.3906
0.3809 0.3033 0.7944
0.3998 0.8723 0.6148
0.4246 0.5033 0.5694
0.4601 0.3229 0.8906
0.4941 0.5349 0.6670
0.5003 0.9553 0.8464
0.5033 0.4246 0.0694
0.5349 0.4941 0.1670
0.5960 0.7638 0.1042
0.5973 0.0319 0.4413
0.6464 0.9112 0.4034
0.6794 0.0300 0.1956
0.7468 0.0764 0.6679
0.7638 0.5960 0.6042
0.7687 0.7893 0.2490
0.7760 0.9331 0.0123
0.7893 0.7687 0.7490
0.7996 0.1653 0.4616
0.8358 0.1566 0.7711
0.8433 0.0991 0.2875
0.8723 0.3998 0.1148
0.9112 0.6464 0.9034
0.9238 0.2433 0.9698
0.9331 0.7760 0.5123
0.9553 0.5003 0.3464
```